Record 1
Structure and theoretical XRD peak list of TaVRh (a cell relaxed with GGA-PBE; Cu Kα (weighted mean of Kα1 and Kα2)).

The 10 most intense peaks (2θ = 15–90°), in order of rising 2θ:
| two_theta | Rel. int. |
| --- | --- |
| 19.20 | 28 |
| 28.04 | 29 |
| 31.90 | 21 |
| 39.53 | 100 |
| 40.59 | 93 |
| 42.47 | 81 |
| 54.13 | 20 |
| 71.12 | 34 |
| 75.01 | 29 |
| 77.13 | 27 |

Atomic structure:
```
data_TaVRh
_chemical_formula_sum 'Ta2 V2 Rh2'
_symmetry_space_group_name_H-M 'I m m 2'
_symmetry_Int_Tables_number 44
_cell_length_a 2.9438
_cell_length_b 3.3887
_cell_length_c 9.2450
_cell_angle_alpha 90.00
_cell_angle_beta 90.00
_cell_angle_gamma 90.00
loop_
_symmetry_equiv_pos_as_xyz
'x,y,z'
'-x,-y,z'
'-x,y,z'
'x,-y,z'
'x+1/2,y+1/2,z+1/2'
'-x+1/2,-y+1/2,z+1/2'
'-x+1/2,y+1/2,z+1/2'
'x+1/2,-y+1/2,z+1/2'
loop_
_atom_site_label
_atom_site_type_symbol
_atom_site_fract_x
_atom_site_fract_y
_atom_site_fract_z
_atom_site_occupancy
Ta1 Ta 0.0000 0.0000 0.0000 1
V1 V 0.0000 0.0000 0.3322 1
Rh1 Rh 0.0000 0.0000 0.6731 1
```



Record 2
Structure and theoretical XRD peak list of TbInCo (a cell relaxed with GGA-PBE; Cu Kα (weighted mean of Kα1 and Kα2)).

The 10 most intense peaks (2θ = 15–90°), in order of rising 2θ:
| two_theta | Rel. int. |
| --- | --- |
| 32.95 | 32 |
| 33.51 | 100 |
| 33.76 | 36 |
| 36.07 | 52 |
| 36.78 | 53 |
| 37.67 | 18 |
| 38.17 | 15 |
| 42.37 | 14 |
| 45.77 | 33 |
| 56.45 | 14 |

Atomic structure:
```
data_TbInCo
_chemical_formula_sum 'Tb6 In6 Co6'
_symmetry_space_group_name_H-M 'P m m a'
_symmetry_Int_Tables_number 51
_cell_length_a 12.4244
_cell_length_b 3.9644
_cell_length_c 7.4672
_cell_angle_alpha 90.00
_cell_angle_beta 90.00
_cell_angle_gamma 90.00
loop_
_symmetry_equiv_pos_as_xyz
'x,y,z'
'-x,-y,-z'
'-x+1/2,-y,z'
'x+1/2,y,-z'
'x+1/2,-y,-z'
'-x+1/2,y,z'
'-x,y,-z'
'x,-y,z'
loop_
_atom_site_label
_atom_site_type_symbol
_atom_site_fract_x
_atom_site_fract_y
_atom_site_fract_z
_atom_site_occupancy
Tb1 Tb 0.0447 0.0000 0.2320 1
Tb2 Tb 0.2500 0.0000 0.8582 1
In1 In 0.1232 0.5000 0.5756 1
In2 In 0.2500 0.5000 0.1955 1
Co1 Co 0.0856 0.5000 0.9487 1
Co2 Co 0.2500 0.0000 0.4446 1
```



Record 3
Structure and theoretical XRD peak list of NpCu2Cl8 (a cell relaxed with GGA-PBE; Cu Kα (weighted mean of Kα1 and Kα2)).

The 10 most intense peaks (2θ = 15–90°), in order of rising 2θ:
| two_theta | Rel. int. |
| --- | --- |
| 18.66 | 100 |
| 18.86 | 35 |
| 22.93 | 28 |
| 26.32 | 27 |
| 29.54 | 44 |
| 29.69 | 34 |
| 35.54 | 32 |
| 37.31 | 20 |
| 37.78 | 49 |
| 46.82 | 21 |

Atomic structure:
```
data_NpCu2Cl8
_chemical_formula_sum 'Np2 Cu4 Cl16'
_symmetry_space_group_name_H-M 'C 1 2/m 1'
_symmetry_Int_Tables_number 12
_cell_length_a 13.2953
_cell_length_b 7.7560
_cell_length_c 6.8418
_cell_angle_alpha 90.00
_cell_angle_beta 91.51
_cell_angle_gamma 90.00
loop_
_symmetry_equiv_pos_as_xyz
'x,y,z'
'-x,-y,-z'
'-x,y,-z'
'x,-y,z'
'x+1/2,y+1/2,z'
'-x+1/2,-y+1/2,-z'
'-x+1/2,y+1/2,-z'
'x+1/2,-y+1/2,z'
loop_
_atom_site_label
_atom_site_type_symbol
_atom_site_fract_x
_atom_site_fract_y
_atom_site_fract_z
_atom_site_occupancy
Np1 Np 0.0000 0.0000 0.0000 1
Cu1 Cu 0.2039 0.0000 0.7490 1
Cl1 Cl 0.1110 0.0000 0.2950 1
Cl2 Cl 0.1137 0.2286 0.8429 1
Cl3 Cl 0.1529 0.5000 0.3743 1
```



Record 4
Structure and theoretical XRD peak list of DyUTeN2 (a cell relaxed with GGA-PBE; Cu Kα (weighted mean of Kα1 and Kα2)).

The 10 most intense peaks (2θ = 15–90°), in order of rising 2θ:
| two_theta | Rel. int. |
| --- | --- |
| 31.25 | 100 |
| 32.36 | 41 |
| 43.11 | 9 |
| 46.42 | 19 |
| 54.92 | 22 |
| 57.03 | 37 |
| 65.20 | 12 |
| 71.64 | 9 |
| 76.49 | 8 |
| 89.75 | 11 |

Atomic structure:
```
data_DyUTeN2
_chemical_formula_sum 'Dy2 U2 Te2 N4'
_symmetry_space_group_name_H-M 'I 4 m m'
_symmetry_Int_Tables_number 107
_symmetry_space_group_name_Hall 'I 4 -2'
_cell_length_a 3.9124
_cell_length_b 3.9124
_cell_length_c 12.5910
_cell_angle_alpha 90.00
_cell_angle_beta 90.00
_cell_angle_gamma 90.00
loop_
_atom_site_label
_atom_site_type_symbol
_atom_site_fract_x
_atom_site_fract_y
_atom_site_fract_z
_atom_site_occupancy
Dy1 Dy 0.0000 0.0000 0.0000 1
U1 U 0.0000 0.0000 0.3275 1
Te1 Te 0.0000 0.0000 0.6649 1
N1 N 0.0000 0.5000 0.4037 1
```



Record 5
Structure and theoretical XRD peak list of AcMgAg2Se4 (a cell relaxed with GGA-PBE; Cu Kα (weighted mean of Kα1 and Kα2)).

The 10 most intense peaks (2θ = 15–90°), in order of rising 2θ:
| two_theta | Rel. int. |
| --- | --- |
| 16.72 | 43 |
| 28.61 | 100 |
| 29.80 | 43 |
| 30.04 | 18 |
| 35.18 | 68 |
| 36.34 | 26 |
| 44.53 | 14 |
| 45.74 | 31 |
| 46.17 | 30 |
| 57.80 | 19 |

Atomic structure:
```
data_AcMgAg2Se4
_chemical_formula_sum 'Ac2 Mg2 Ag4 Se8'
_symmetry_space_group_name_H-M 'I 2 2 2'
_symmetry_Int_Tables_number 23
_cell_length_a 7.1624
_cell_length_b 7.2685
_cell_length_c 7.8877
_cell_angle_alpha 90.00
_cell_angle_beta 90.00
_cell_angle_gamma 90.00
loop_
_symmetry_equiv_pos_as_xyz
'x,y,z'
'-x,-y,z'
'x,-y,-z'
'-x,y,-z'
'x+1/2,y+1/2,z+1/2'
'-x+1/2,-y+1/2,z+1/2'
'x+1/2,-y+1/2,-z+1/2'
'-x+1/2,y+1/2,-z+1/2'
loop_
_atom_site_label
_atom_site_type_symbol
_atom_site_fract_x
_atom_site_fract_y
_atom_site_fract_z
_atom_site_occupancy
Ac1 Ac 0.0000 0.0000 0.0000 1
Mg1 Mg 0.0000 0.0000 0.5000 1
Ag1 Ag 0.0000 0.5000 0.1996 1
Se1 Se 0.2078 0.2103 0.3134 1
```



Record 6
Structure and theoretical XRD peak list of Tb5AlPd4 (a cell relaxed with GGA-PBE; Cu Kα (weighted mean of Kα1 and Kα2)).

The 10 most intense peaks (2θ = 15–90°), in order of rising 2θ:
| two_theta | Rel. int. |
| --- | --- |
| 25.19 | 8 |
| 35.77 | 100 |
| 35.92 | 50 |
| 51.26 | 9 |
| 51.71 | 18 |
| 64.18 | 17 |
| 64.47 | 36 |
| 75.80 | 11 |
| 86.40 | 7 |
| 87.14 | 16 |

Atomic structure:
```
data_Tb5AlPd4
_chemical_formula_sum 'Tb5 Al1 Pd4'
_symmetry_space_group_name_H-M 'P 4/m m m'
_symmetry_Int_Tables_number 123
_symmetry_space_group_name_Hall '-P 4 2'
_cell_length_a 3.5355
_cell_length_b 3.5355
_cell_length_c 17.8213
_cell_angle_alpha 90.00
_cell_angle_beta 90.00
_cell_angle_gamma 90.00
loop_
_atom_site_label
_atom_site_type_symbol
_atom_site_fract_x
_atom_site_fract_y
_atom_site_fract_z
_atom_site_occupancy
Tb1 Tb 0.0000 0.0000 0.0000 1
Tb2 Tb 0.0000 0.0000 0.1979 1
Tb3 Tb 0.0000 0.0000 0.3942 1
Al1 Al 0.5000 0.5000 0.5000 1
Pd1 Pd 0.5000 0.5000 0.0992 1
Pd2 Pd 0.5000 0.5000 0.2973 1
```



Record 7
Structure and theoretical XRD peak list of TmPtRh (a cell relaxed with GGA-PBE; Cu Kα (weighted mean of Kα1 and Kα2)).

The 10 most intense peaks (2θ = 15–90°), in order of rising 2θ:
| two_theta | Rel. int. |
| --- | --- |
| 37.67 | 100 |
| 41.25 | 19 |
| 43.87 | 17 |
| 46.11 | 15 |
| 61.79 | 12 |
| 63.57 | 10 |
| 72.82 | 12 |
| 76.51 | 13 |
| 79.75 | 11 |
| 80.44 | 11 |

Atomic structure:
```
data_TmPtRh
_chemical_formula_sum 'Tm2 Pt2 Rh2'
_symmetry_space_group_name_H-M 'P 1 21/m 1'
_symmetry_Int_Tables_number 11
_cell_length_a 3.9367
_cell_length_b 4.1272
_cell_length_c 6.8548
_cell_angle_alpha 90.00
_cell_angle_beta 106.67
_cell_angle_gamma 90.00
loop_
_symmetry_equiv_pos_as_xyz
'x,y,z'
'-x,-y,-z'
'-x,y+1/2,-z'
'x,-y+1/2,z'
loop_
_atom_site_label
_atom_site_type_symbol
_atom_site_fract_x
_atom_site_fract_y
_atom_site_fract_z
_atom_site_occupancy
Tm1 Tm 0.0966 0.2500 0.1924 1
Pt1 Pt 0.2495 0.7500 0.4993 1
Rh1 Rh 0.4143 0.2500 0.8302 1
```



Record 8
Structure and theoretical XRD peak list of Cu2ReH (a cell relaxed with GGA-PBE; Cu Kα (weighted mean of Kα1 and Kα2)).

The 10 most intense peaks (2θ = 15–90°), in order of rising 2θ:
| two_theta | Rel. int. |
| --- | --- |
| 22.06 | 29 |
| 35.65 | 26 |
| 36.78 | 71 |
| 42.32 | 100 |
| 44.26 | 41 |
| 44.99 | 13 |
| 64.78 | 26 |
| 66.97 | 14 |
| 68.63 | 15 |
| 78.24 | 15 |

Atomic structure:
```
data_Cu2ReH
_chemical_formula_sum 'Cu8 Re4 H4'
_symmetry_space_group_name_H-M 'I -4 2 d'
_symmetry_Int_Tables_number 122
_symmetry_space_group_name_Hall 'I -4 2bw'
_cell_length_a 5.0362
_cell_length_b 5.0362
_cell_length_c 6.7183
_cell_angle_alpha 90.00
_cell_angle_beta 90.00
_cell_angle_gamma 90.00
loop_
_atom_site_label
_atom_site_type_symbol
_atom_site_fract_x
_atom_site_fract_y
_atom_site_fract_z
_atom_site_occupancy
Cu1 Cu 0.0702 0.7500 0.1250 1
Re1 Re 0.0000 0.0000 0.5000 1
H1 H 0.0000 0.0000 0.0000 1
```



Record 9
Structure and theoretical XRD peak list of MgBeCl2 (a cell relaxed with GGA-PBE; Cu Kα (weighted mean of Kα1 and Kα2)).

The 10 most intense peaks (2θ = 15–90°), in order of rising 2θ:
| two_theta | Rel. int. |
| --- | --- |
| 20.70 | 83 |
| 29.63 | 14 |
| 31.12 | 100 |
| 34.21 | 60 |
| 35.20 | 19 |
| 40.04 | 36 |
| 41.47 | 14 |
| 44.43 | 14 |
| 49.51 | 22 |
| 65.78 | 15 |

Atomic structure:
```
data_MgBeCl2
_chemical_formula_sum 'Mg2 Be2 Cl4'
_symmetry_space_group_name_H-M 'C 1 m 1'
_symmetry_Int_Tables_number 8
_cell_length_a 6.2821
_cell_length_b 3.2665
_cell_length_c 8.9422
_cell_angle_alpha 90.00
_cell_angle_beta 106.29
_cell_angle_gamma 90.00
loop_
_symmetry_equiv_pos_as_xyz
'x,y,z'
'x,-y,z'
'x+1/2,y+1/2,z'
'x+1/2,-y+1/2,z'
loop_
_atom_site_label
_atom_site_type_symbol
_atom_site_fract_x
_atom_site_fract_y
_atom_site_fract_z
_atom_site_occupancy
Mg1 Mg 0.0000 0.0000 0.0000 1
Be1 Be 0.2447 0.0000 0.7509 1
Cl1 Cl 0.1424 0.5000 0.6067 1
Cl2 Cl 0.2502 0.5000 0.1725 1
```



Record 10
Structure and theoretical XRD peak list of Tl2SnTe2 (a cell relaxed with GGA-PBE; Cu Kα (weighted mean of Kα1 and Kα2)).

The 10 most intense peaks (2θ = 15–90°), in order of rising 2θ:
| two_theta | Rel. int. |
| --- | --- |
| 26.18 | 33 |
| 27.01 | 100 |
| 27.58 | 67 |
| 29.00 | 20 |
| 29.63 | 25 |
| 31.41 | 19 |
| 33.36 | 21 |
| 38.72 | 18 |
| 39.26 | 30 |
| 44.24 | 20 |

Atomic structure:
```
data_Tl2SnTe2
_chemical_formula_sum 'Tl8 Sn4 Te8'
_symmetry_space_group_name_H-M 'P 1 21/c 1'
_symmetry_Int_Tables_number 14
_cell_length_a 10.9984
_cell_length_b 8.3494
_cell_length_c 8.5109
_cell_angle_alpha 90.00
_cell_angle_beta 111.34
_cell_angle_gamma 90.00
loop_
_symmetry_equiv_pos_as_xyz
'x,y,z'
'-x,-y,-z'
'-x,y+1/2,-z+1/2'
'x,-y+1/2,z+1/2'
loop_
_atom_site_label
_atom_site_type_symbol
_atom_site_fract_x
_atom_site_fract_y
_atom_site_fract_z
_atom_site_occupancy
Tl1 Tl 0.0740 0.2225 0.0653 1
Tl2 Tl 0.2807 0.5961 0.9784 1
Sn1 Sn 0.3426 0.1398 0.9607 1
Te1 Te 0.1184 0.5779 0.2559 1
Te2 Te 0.4677 0.6085 0.7118 1
```



Record 11
Structure and theoretical XRD peak list of La3NdHo (a cell relaxed with GGA-PBE; Cu Kα (weighted mean of Kα1 and Kα2)).

The 10 most intense peaks (2θ = 15–90°), in order of rising 2θ:
| two_theta | Rel. int. |
| --- | --- |
| 22.48 | 24 |
| 26.50 | 21 |
| 29.26 | 100 |
| 29.58 | 32 |
| 34.64 | 27 |
| 37.47 | 45 |
| 45.88 | 22 |
| 48.52 | 25 |
| 55.55 | 16 |
| 65.56 | 17 |

Atomic structure:
```
data_La3NdHo
_chemical_formula_sum 'La6 Nd2 Ho2'
_symmetry_space_group_name_H-M 'P 63/m m c'
_symmetry_Int_Tables_number 194
_symmetry_space_group_name_Hall '-P 6c 2c'
_cell_length_a 7.9110
_cell_length_b 7.9110
_cell_length_c 6.7278
_cell_angle_alpha 90.00
_cell_angle_beta 90.00
_cell_angle_gamma 120.00
loop_
_atom_site_label
_atom_site_type_symbol
_atom_site_fract_x
_atom_site_fract_y
_atom_site_fract_z
_atom_site_occupancy
La1 La 0.1991 0.3981 0.2500 1
Nd1 Nd 0.0000 0.0000 0.0000 1
Ho1 Ho 0.3333 0.6667 0.7500 1
```



Record 12
Structure and theoretical XRD peak list of Sr6PtPb2O (a cell relaxed with GGA-PBE; Cu Kα (weighted mean of Kα1 and Kα2)).

The 10 most intense peaks (2θ = 15–90°), in order of rising 2θ:
| two_theta | Rel. int. |
| --- | --- |
| 22.85 | 73 |
| 28.08 | 79 |
| 32.54 | 100 |
| 40.13 | 34 |
| 46.68 | 72 |
| 55.37 | 34 |
| 58.06 | 25 |
| 63.22 | 20 |
| 77.58 | 31 |
| 86.67 | 24 |

Atomic structure:
```
data_Sr6PtPb2O
_chemical_formula_sum 'Sr12 Pt2 Pb4 O2'
_symmetry_space_group_name_H-M 'P m m n'
_symmetry_Int_Tables_number 59
_cell_length_a 7.7840
_cell_length_b 11.0042
_cell_length_c 7.7839
_cell_angle_alpha 90.00
_cell_angle_beta 90.00
_cell_angle_gamma 90.00
loop_
_symmetry_equiv_pos_as_xyz
'x,y,z'
'-x,-y,-z'
'-x+1/2,-y+1/2,z'
'x+1/2,y+1/2,-z'
'x+1/2,-y,-z'
'-x+1/2,y,z'
'-x,y+1/2,-z'
'x,-y+1/2,z'
loop_
_atom_site_label
_atom_site_type_symbol
_atom_site_fract_x
_atom_site_fract_y
_atom_site_fract_z
_atom_site_occupancy
Sr1 Sr 0.0135 0.2500 0.0125 1
Sr2 Sr 0.0131 0.2500 0.4859 1
Sr3 Sr 0.2500 0.0133 0.2496 1
Pt1 Pt 0.2500 0.7500 0.2506 1
Pb1 Pb 0.2500 0.0000 0.7500 1
O1 O 0.2500 0.2500 0.2495 1
```